Diffraction record for W3O8. The powder diffraction line list is computed, not measured: it uses the GGA+U geometry in the Materials Project and CuKα.

Most intense lines, 2θ from 10° to 90°, in order of rising 2θ:
3.858 Å, 2θ 23.05, intensity 100
3.250 Å, 2θ 27.44, intensity 62
3.124 Å, 2θ 28.58, intensity 99
2.486 Å, 2θ 36.13, intensity 41
2.428 Å, 2θ 37.03, intensity 67
1.851 Å, 2θ 49.22, intensity 29
1.669 Å, 2θ 55.02, intensity 31
1.641 Å, 2θ 56.03, intensity 30

Structural model:
abc: 6.253 6.253 3.858
angles: 90.00 90.00 117.36
Atoms (fractional coordinates):
W (0.000, 0.000, 0.000)
W (0.316, 0.684, 0.000)
W (0.684, 0.316, 0.000)
O (0.000, 0.000, 0.500)
O (0.034, 0.337, 0.000)
O (0.311, 0.689, 0.500)
O (0.337, 0.034, 0.000)
O (0.500, 0.500, 0.000)
O (0.663, 0.966, 0.000)
O (0.689, 0.311, 0.500)
O (0.966, 0.663, 0.000)